1.
ZnAgF3: computed XRD peak list (Cu Ka), based on a structure optimized by DFT (GGA-PBE).

Crystal structure
```
ZnAgF3
1.0
2.769 1.599 5.519
-2.769 1.599 5.519
0.000 -3.197 5.519
Zn Ag F
2 2 6
Cartesian
0.000 0.000 2.630
0.000 0.000 13.928
0.000 0.000 5.935
0.000 0.000 10.623
-2.126 -0.053 7.125
-1.017 -1.867 9.433
1.108 -1.815 7.125
-1.108 1.815 9.433
1.017 1.867 7.125
2.126 0.053 9.433
```

The 10 most intense peaks (2θ = 10–80°), most intense first:
d_spacing  I/Imax
3.134  100
2.769  82
1.955  59
4.150  36
2.075  35
1.661  32
1.599  29
1.384  19
2.475  16
1.565  15



2.
ZnAgF3: computed XRD peak list (Cu Ka), based on a structure optimized by DFT (GGA-PBE).

Crystal structure
```
ZnAgF3
1.0
4.073 0.000 0.000
0.000 4.073 0.000
0.000 0.000 4.073
Zn Ag F
1 1 3
Cartesian
0.000 0.000 0.000
2.037 2.037 2.037
0.000 0.000 2.037
0.000 2.037 0.000
2.037 0.000 0.000
```

The 10 most intense peaks (2θ = 10–80°), most intense first:
d_spacing  I/Imax
2.880  100
2.037  39
1.663  38
1.440  22
1.288  16
2.352  14
1.228  4
4.073  2
1.822  1
1.358  1